Calculated powder diffraction line list
Compound: ScHg2Pd3
Radiation: Cu Kα
Structure: the PBE geometry in Alexandria
Lines closer than 0.1° are merged.

Top 10 peaks for 10 to 90 degrees two-theta, low angle first:
| two_theta | d (Å) | I (rel.) | hkl |
| --- | --- | --- | --- |
| 14.5 | 6.114 | 9 | 0 0 1 |
| 29.9 | 2.992 | 10 | 1 3 1 |
| 36.9 | 2.435 | 30 | 0 6 0 |
| 37.2 | 2.418 | 30 | 2 0 0 |
| 39.5 | 2.283 | 100 | 1 3 2 |
| 53.4 | 1.716 | 20 | 2 6 0 |
| 68.2 | 1.375 | 19 | 1 9 2 |
| 68.6 | 1.368 | 19 | 3 3 2 |
| 73.3 | 1.292 | 8 | 2 0 4 |
| 85.0 | 1.141 | 11 | 2 6 4 |

Cell and atoms:
Cell lengths 4.8352, 14.6092, 6.1144 Å; angles 90.00, 90.00, 90.00 degrees
Space group Cmmm (No. 65)
Asymmetric unit:
Sc 0.0000 0.1609 0.0000 (multiplicity 4)
Hg 0.0000 0.1661 0.5000 (multiplicity 4)
Hg 0.0000 0.5000 0.0000 (multiplicity 2)
Hg 0.0000 0.5000 0.5000 (multiplicity 2)
Pd 0.0000 0.0000 0.2527 (multiplicity 4)
Pd 0.0000 0.3256 0.2381 (multiplicity 8)

---

Calculated powder diffraction line list
Compound: HgPd2Se
Radiation: Cu Kα
Structure: the PBE geometry in Alexandria
Lines closer than 0.1° are merged.

Top 10 peaks for 10 to 90 degrees two-theta, low angle first:
| two_theta | d (Å) | I (rel.) | hkl |
| --- | --- | --- | --- |
| 10.9 | 8.125 | 34 | 1 0 0 |
| 30.0 | 2.975 | 51 | 2 1 -1 |
| 30.3 | 2.950 | 69 | 2 1 1 |
| 32.1 | 2.788 | 100 | 0 2 1 |
| 36.1 | 2.489 | 40 | 3 1 0 |
| 39.1 | 2.305 | 48 | 2 2 -1 |
| 40.0 | 2.253 | 72 | 2 1 -2 |
| 40.4 | 2.231 | 88 | 2 1 2 |
| 44.6 | 2.031 | 48 | 4 0 0 |
| 48.7 | 1.869 | 41 | 2 3 0 |

Cell and atoms:
Cell lengths 8.1257, 6.3152, 5.9443 Å; angles 90.00, 90.67, 90.00 degrees
Space group P2_1/c (No. 14)
Asymmetric unit:
Hg 0.1093 0.1285 0.2991 (multiplicity 4)
Pd 0.1644 0.6936 0.4847 (multiplicity 4)
Pd 0.3972 0.1970 0.0199 (multiplicity 4)
Se 0.3708 0.5700 0.2013 (multiplicity 4)

---

Calculated powder diffraction line list
Compound: HgPd4Se8
Radiation: Cu Kα
Structure: the PBE geometry in Alexandria
Lines closer than 0.1° are merged.

Top 10 peaks for 10 to 90 degrees two-theta, low angle first:
| two_theta | d (Å) | I (rel.) | hkl |
| --- | --- | --- | --- |
| 14.1 | 6.271 | 49 | 1 1 1 |
| 16.3 | 5.431 | 22 | 2 0 0 |
| 23.2 | 3.840 | 25 | 2 2 0 |
| 27.2 | 3.275 | 84 | 3 1 1 |
| 33.0 | 2.715 | 68 | 4 0 0 |
| 43.3 | 2.090 | 68 | 5 1 1 |
| 47.3 | 1.920 | 100 | 4 4 0 |
| 66.1 | 1.414 | 19 | 5 5 3 |
| 85.2 | 1.139 | 19 | 9 3 1 |
| 88.1 | 1.109 | 25 | 8 4 4 |

Cell and atoms:
Cell lengths 10.8614, 10.8614, 10.8614 Å; angles 90.00, 90.00, 90.00 degrees
Space group F-43m (No. 216)
Asymmetric unit:
Hg 0.0000 0.0000 0.0000 (multiplicity 4)
Pd 0.1213 0.1213 0.6213 (multiplicity 16)
Se 0.1113 0.1113 0.3887 (multiplicity 16)
Se 0.1429 0.1429 0.8571 (multiplicity 16)

---

Calculated powder diffraction line list
Compound: Hg3Pd8Se9
Radiation: Cu Kα
Structure: the PBE geometry in Alexandria
Lines closer than 0.1° are merged.

Top 10 peaks for 10 to 90 degrees two-theta, low angle first:
| two_theta | d (Å) | I (rel.) | hkl |
| --- | --- | --- | --- |
| 18.1 | 4.903 | 19 | 1 0 1 |
| 29.7 | 3.011 | 22 | 2 2 1 |
| 31.5 | 2.840 | 23 | 0 3 2 |
| 31.7 | 2.827 | 32 | 1 2 2 |
| 31.9 | 2.801 | 100 | 2 3 1 |
| 32.0 | 2.793 | 25 | 2 4 0 |
| 38.1 | 2.364 | 21 | 0 5 2 |
| 42.4 | 2.132 | 50 | 2 6 1 |
| 48.7 | 1.869 | 29 | 2 1 3 |
| 49.3 | 1.847 | 28 | 4 0 0 |

Cell and atoms:
Cell lengths 7.3890, 17.0692, 6.5547 Å; angles 90.00, 90.00, 90.00 degrees
Space group Pmmn (No. 59, origin choice 2)
Asymmetric unit:
Hg 0.2500 0.0441 0.1230 (multiplicity 4)
Hg 0.2500 0.7500 0.2857 (multiplicity 2)
Pd 0.0124 0.1611 0.9624 (multiplicity 8)
Pd 0.2500 0.1650 0.4001 (multiplicity 4)
Pd 0.2500 0.5148 0.5343 (multiplicity 4)
Se 0.0054 0.7500 0.7294 (multiplicity 4)
Se 0.0165 0.0899 0.6165 (multiplicity 8)
Se 0.2500 0.2500 0.8052 (multiplicity 2)
Se 0.2500 0.5837 0.8956 (multiplicity 4)